Structure and calculated powder diffractogram of HgC (a cell relaxed with GGA-PBE; CuKα).
Intensities are scaled so that the largest is 100.

Structure:
abc: 6.0940 6.0940 2.6417
angles: 90.00 90.00 120.00
Space group P6_3/mmc (No. 194)
Symmetry-distinct sites (fractional):
Hg (0.3333, 0.6667, 0.2500) [2 per cell]
C (0.0000, 0.0000, 0.0000) [2 per cell]

The 10 most intense peaks (2θ from 10° to 80°), by angle:
16.80°, rel. 62, (1 0 0); 29.31°, rel. 100, (1 1 0); 33.97°, rel. 12, (2 0 0); 38.09°, rel. 68, (1 0 1); 48.78°, rel. 34, (2 0 1); 51.98°, rel. 20, (3 0 0); 57.93°, rel. 41, (2 1 1); 60.80°, rel. 13, (2 2 0); 74.03°, rel. 24, (3 1 1); 79.03°, rel. 13, (1 1 2)